Entry 1:
The following is a computed powder diffractogram of Er2InGa2Rh5. It was derived from a cell relaxed with GGA-PBE, using CuKα.
No peak broadening, texture or thermal motion is included.

Atomic structure:
Lattice parameters (Å, degrees): 9.820 9.820 3.579 90.00 90.00 90.00
Fractional positions:
Er 0.174 0.326 0.000
Er 0.326 0.826 0.000
Er 0.674 0.174 0.000
Er 0.826 0.674 0.000
In 0.000 0.000 0.000
In 0.500 0.500 0.000
Ga 0.124 0.624 0.000
Ga 0.376 0.124 0.000
Ga 0.624 0.876 0.000
Ga 0.876 0.376 0.000
Rh 0.000 0.500 0.500
Rh 0.069 0.792 0.500
Rh 0.208 0.069 0.500
Rh 0.292 0.569 0.500
Rh 0.431 0.292 0.500
Rh 0.500 0.000 0.500
Rh 0.569 0.708 0.500
Rh 0.708 0.431 0.500
Rh 0.792 0.931 0.500
Rh 0.931 0.208 0.500

Most intense lines, 2θ = 5–70°, in order of rising 2θ:
2θ 32.27, intensity 30.4; 2θ 36.04, intensity 23.5; 2θ 37.77, intensity 50.5; 2θ 38.38, intensity 100.0; 2θ 41.67, intensity 31.7; 2θ 51.04, intensity 21.3


Entry 2:
The following is a computed powder diffractogram of Sm2Er2InGa4. It was derived from a cell relaxed with GGA-PBE, using CuKα.
No peak broadening, texture or thermal motion is included.

Atomic structure:
Lattice parameters (Å, degrees): 6.842 6.842 6.842 117.39 117.39 94.58
Fractional positions:
Sm 0.187 0.187 0.000
Sm 0.813 0.813 0.000
Er 0.250 0.750 0.500
Er 0.750 0.250 0.500
In 0.500 0.500 0.000
Ga 0.240 0.240 0.480
Ga 0.240 0.760 0.000
Ga 0.760 0.240 0.000
Ga 0.760 0.760 0.520

Most intense lines, 2θ = 5–70°, in order of rising 2θ:
2θ 25.05, intensity 36.6; 2θ 31.54, intensity 27.9; 2θ 31.71, intensity 100.0; 2θ 35.72, intensity 76.1; 2θ 40.69, intensity 33.6; 2θ 61.68, intensity 28.9